[1]
Structure and calculated powder XRD pattern of Zn14C (the PBE geometry in OQMD; Cu Kα (weighted mean of Kα1 and Kα2)).
No peak broadening, texture or thermal motion is included.

Principal peaks in the range 2θ from 10° to 80°, in order of rising 2θ:
2θ (°), d [Å], intensity
29.17, 3.062, 18.0
34.72, 2.584, 43.5
36.87, 2.438, 10.4
38.22, 2.355, 14.3
38.70, 2.327, 18.0
42.51, 2.127, 33.4
44.38, 2.041, 100.0
49.71, 1.834, 11.7
58.83, 1.570, 9.7
61.87, 1.500, 8.7
70.04, 1.343, 16.8
79.10, 1.211, 15.8

Structure:
Cell: 6.3042 6.3042 6.3042 Å, 79.47 79.47 79.47°
Sites, in units of the cell vectors:
Zn (0.1580, 0.1580, 0.1580)
Zn (0.1806, 0.5000, 0.8194)
Zn (0.1806, 0.8194, 0.5000)
Zn (0.2053, 0.2053, 0.5796)
Zn (0.2053, 0.5796, 0.2053)
Zn (0.4204, 0.7947, 0.7947)
Zn (0.5000, 0.1806, 0.8194)
Zn (0.5000, 0.8194, 0.1806)
Zn (0.5796, 0.2053, 0.2053)
Zn (0.7947, 0.4204, 0.7947)
Zn (0.7947, 0.7947, 0.4204)
Zn (0.8194, 0.1806, 0.5000)
Zn (0.8194, 0.5000, 0.1806)
Zn (0.8420, 0.8420, 0.8420)
C (0.0000, 0.0000, 0.0000)

[2]
Structure and calculated powder XRD pattern of Zr2O7 (the PBE geometry in OQMD; Cu Kα (weighted mean of Kα1 and Kα2)).
No peak broadening, texture or thermal motion is included.

Principal peaks in the range 2θ from 10° to 80°, in order of rising 2θ:
2θ (°), d [Å], intensity
18.75, 4.732, 26.4
20.60, 4.312, 63.9
24.49, 3.636, 100.0
24.65, 3.612, 12.1
27.04, 3.298, 42.7
32.86, 2.725, 14.4
35.01, 2.563, 25.4
36.72, 2.447, 11.9
37.97, 2.370, 20.7
43.80, 2.067, 13.8
48.28, 1.885, 22.1
55.72, 1.650, 12.1

Structure:
Cell: 5.2159 5.2159 10.2719 Å, 98.57 98.57 65.72°
Sites, in units of the cell vectors:
Zr (0.1438, 0.2421, 0.3557)
Zr (0.2421, 0.1438, 0.8557)
Zr (0.7579, 0.8562, 0.1443)
Zr (0.8562, 0.7579, 0.6443)
O (0.0381, 0.5881, 0.9720)
O (0.0847, 0.5751, 0.2620)
O (0.1467, 0.6007, 0.4920)
O (0.1779, 0.8221, 0.7500)
O (0.3993, 0.8533, 0.0080)
O (0.4119, 0.9619, 0.5280)
O (0.4249, 0.9153, 0.2380)
O (0.5751, 0.0847, 0.7620)
O (0.5881, 0.0381, 0.4720)
O (0.6007, 0.1467, 0.9920)
O (0.8221, 0.1779, 0.2500)
O (0.8533, 0.3993, 0.5080)
O (0.9153, 0.4249, 0.7380)
O (0.9619, 0.4119, 0.0280)

[3]
Structure and calculated powder XRD pattern of LiPaN2 (the PBE geometry in OQMD; Cu Kα (weighted mean of Kα1 and Kα2)).
No peak broadening, texture or thermal motion is included.

Principal peaks in the range 2θ from 10° to 80°, in order of rising 2θ:
2θ (°), d [Å], intensity
21.89, 4.060, 67.5
24.82, 3.587, 100.0
29.42, 3.036, 94.9
32.23, 2.777, 56.9
32.43, 2.761, 27.4
34.20, 2.622, 38.4
35.88, 2.503, 43.8
44.64, 2.030, 28.1
44.80, 2.023, 28.0
48.77, 1.867, 28.7
50.49, 1.808, 24.4
51.73, 1.767, 35.3

Structure:
Cell: 5.7163 5.9480 5.7198 Å, 90.00 103.73 90.00°
Sites, in units of the cell vectors:
Li (0.1681, 0.1194, 0.1518)
Li (0.1681, 0.3806, 0.6518)
Li (0.8319, 0.6194, 0.3482)
Li (0.8319, 0.8806, 0.8482)
Pa (0.2911, 0.5671, 0.1898)
Pa (0.2911, 0.9329, 0.6898)
Pa (0.7089, 0.0671, 0.3102)
Pa (0.7089, 0.4329, 0.8102)
N (0.0630, 0.6396, 0.8151)
N (0.0630, 0.8604, 0.3151)
N (0.4467, 0.2415, 0.9824)
N (0.4467, 0.2585, 0.4824)
N (0.5533, 0.7415, 0.5176)
N (0.5533, 0.7585, 0.0176)
N (0.9370, 0.1396, 0.6849)
N (0.9370, 0.3604, 0.1849)

[4]
Structure and calculated powder XRD pattern of U3Co7B2 (the PBE geometry in OQMD; Cu Kα (weighted mean of Kα1 and Kα2)).
No peak broadening, texture or thermal motion is included.

Principal peaks in the range 2θ from 10° to 80°, in order of rising 2θ:
2θ (°), d [Å], intensity
20.68, 4.296, 21.1
21.64, 4.106, 28.6
33.08, 2.708, 23.4
36.22, 2.480, 52.2
38.47, 2.340, 100.0
42.07, 2.148, 18.2
42.59, 2.123, 44.6
44.84, 2.022, 77.4
66.64, 1.403, 38.3
71.17, 1.325, 19.9
75.64, 1.257, 23.2
76.87, 1.240, 18.3

Structure:
Cell: 4.9606 4.9606 13.9559 Å, 90.00 90.00 120.00°
Sites, in units of the cell vectors:
U (0.3333, 0.6667, 0.0305)
U (0.3333, 0.6667, 0.2500)
U (0.3333, 0.6667, 0.4695)
U (0.6667, 0.3333, 0.5305)
U (0.6667, 0.3333, 0.7500)
U (0.6667, 0.3333, 0.9695)
Co (0.0000, 0.0000, 0.0000)
Co (0.0000, 0.0000, 0.5000)
Co (0.1653, 0.3306, 0.6466)
Co (0.1653, 0.3306, 0.8534)
Co (0.1653, 0.8347, 0.6466)
Co (0.1653, 0.8347, 0.8534)
Co (0.3306, 0.1653, 0.1466)
Co (0.3306, 0.1653, 0.3534)
Co (0.6694, 0.8347, 0.6466)
Co (0.6694, 0.8347, 0.8534)
Co (0.8347, 0.1653, 0.1466)
Co (0.8347, 0.1653, 0.3534)
Co (0.8347, 0.6694, 0.1466)
Co (0.8347, 0.6694, 0.3534)
B (0.0000, 0.0000, 0.2500)
B (0.0000, 0.0000, 0.7500)
B (0.3333, 0.6667, 0.7500)
B (0.6667, 0.3333, 0.2500)

[5]
Structure and calculated powder XRD pattern of HfScAsC (the PBE geometry in OQMD; Cu Kα (weighted mean of Kα1 and Kα2)).
No peak broadening, texture or thermal motion is included.

Principal peaks in the range 2θ from 10° to 80°, in order of rising 2θ:
2θ (°), d [Å], intensity
30.02, 2.977, 26.2
30.86, 2.898, 12.1
33.26, 2.694, 23.5
36.96, 2.432, 100.0
41.66, 2.168, 9.9
42.88, 2.109, 11.2
47.14, 1.928, 5.6
53.28, 1.719, 39.3
53.83, 1.703, 6.6
66.63, 1.404, 17.4
70.71, 1.332, 15.1
74.66, 1.271, 8.1

Structure:
Cell: 3.4373 3.4373 12.6535 Å, 90.00 90.00 120.00°
Sites, in units of the cell vectors:
Hf (0.3333, 0.6667, 0.4015)
Hf (0.6667, 0.3333, 0.5985)
Sc (0.3333, 0.6667, 0.0966)
Sc (0.6667, 0.3333, 0.9034)
As (0.3333, 0.6667, 0.7472)
As (0.6667, 0.3333, 0.2528)
C (0.0000, 0.0000, 0.0000)
C (0.0000, 0.0000, 0.5000)

[6]
Structure and calculated powder XRD pattern of Zn2Sn2As3P (the PBE geometry in OQMD; Cu Kα (weighted mean of Kα1 and Kα2)).
No peak broadening, texture or thermal motion is included.

Principal peaks in the range 2θ from 10° to 80°, in order of rising 2θ:
2θ (°), d [Å], intensity
16.87, 5.254, 4.4
26.26, 3.393, 100.0
27.34, 3.262, 4.7
35.01, 2.563, 6.0
43.55, 2.078, 72.3
51.53, 1.773, 30.6
51.65, 1.770, 14.7
63.17, 1.472, 4.0
69.68, 1.349, 9.1
69.80, 1.347, 8.7
79.90, 1.201, 11.8
79.98, 1.200, 3.8

Structure:
Cell: 13.1474 5.8791 5.8659 Å, 90.00 116.41 90.00°
Sites, in units of the cell vectors:
Zn (0.1205, 0.0000, 0.3606)
Zn (0.3795, 0.5000, 0.6394)
Zn (0.6205, 0.5000, 0.3606)
Zn (0.8795, 0.0000, 0.6394)
Sn (0.1241, 0.4864, 0.8785)
Sn (0.3759, 0.9864, 0.1215)
Sn (0.6241, 0.9864, 0.8785)
Sn (0.8759, 0.4864, 0.1215)
As (0.0000, 0.7646, 0.5000)
As (0.2501, 0.2411, 0.7232)
As (0.2499, 0.7411, 0.2768)
As (0.5000, 0.2646, 0.5000)
As (0.7499, 0.2411, 0.2768)
As (0.7501, 0.7411, 0.7232)
P (0.0000, 0.2239, 0.0000)
P (0.5000, 0.7239, 0.0000)